Structure and simulated powder XRD pattern of NaAsCl5 (a PBE-relaxed structure; copper Kα).
Neutral-atom scattering factors, no anomalous dispersion.

Main lines, low angle first (10° ≤ 2θ ≤ 90°):
d (Å)	I/Imax
7.106	15.1
6.060	24.3
5.818	100.0
4.611	40.3
4.548	24.2
4.502	26.1
2.914	18.0
2.732	37.6
2.691	30.9
2.414	21.5

Structure:
Lattice parameters (Å, degrees): 7.451 12.120 9.442 90.00 107.51 90.00
Space group P2_1/c (No. 14)
One atom of each set of equivalent atoms:
Na1 0.089 0.246 0.065 (multiplicity 4)
As1 0.350 0.522 0.796 (multiplicity 4)
Cl1 0.109 0.666 0.737 (multiplicity 4)
Cl2 0.117 0.116 0.328 (multiplicity 4)
Cl3 0.301 0.043 0.065 (multiplicity 4)
Cl4 0.401 0.601 0.084 (multiplicity 4)
Cl5 0.436 0.150 0.736 (multiplicity 4)